# 1
This entry pairs a crystal structure of NbPdPt with its calculated PXRD pattern. Radiation: Cu Ka. Structure: a crystal structure in OQMD, relaxed with GGA-PBE.

Most intense lines, 2θ from 10° to 90°, most intense first:
- 38.97 deg, intensity 100, (1 1 0)
- 39.08 deg, intensity 99, (0 1 3)
- 45.29 deg, intensity 65, (1 0 3)
- 66.17 deg, intensity 52, (1 2 3)
- 45.55 deg, intensity 32, (0 2 0)
- 79.29 deg, intensity 25, (2 1 3)
- 79.50 deg, intensity 25, (1 1 6)
- 79.78 deg, intensity 25, (1 3 0)
- 24.70 deg, intensity 16, (0 1 1)
- 20.95 deg, intensity 12, (0 0 2)
- 83.70 deg, intensity 11, (2 2 0)
- 83.97 deg, intensity 11, (0 2 6)

Atomic structure:
```
data_NbPdPt
_chemical_formula_sum 'Nb2 Pd2 Pt2'
_cell_length_a 2.8375
_cell_length_b 3.9830
_cell_length_c 8.4791
_cell_angle_alpha 90.00
_cell_angle_beta 90.00
_cell_angle_gamma 90.00
_symmetry_space_group_name_H-M 'I m m 2'
_symmetry_Int_Tables_number 44
loop_
_symmetry_equiv_pos_as_xyz
'x,y,z'
'-x,-y,z'
'-x,y,z'
'x,-y,z'
'x+1/2,y+1/2,z+1/2'
'-x+1/2,-y+1/2,z+1/2'
'-x+1/2,y+1/2,z+1/2'
'x+1/2,-y+1/2,z+1/2'
loop_
_atom_site_label
_atom_site_fract_x
_atom_site_fract_y
_atom_site_fract_z
Nb1 0.0000 0.0000 0.0000
Pd1 0.0000 0.0000 0.6665
Pt1 0.0000 0.0000 0.3342
```

# 2
This entry pairs a crystal structure of Y2Pd5Au with its calculated PXRD pattern. Radiation: Cu Ka. Structure: a crystal structure in OQMD, relaxed with GGA-PBE.

Most intense lines, 2θ from 10° to 90°, most intense first:
- 37.60 deg, intensity 100, (2 0 2)
- 43.18 deg, intensity 34, (2 2 0)
- 75.47 deg, intensity 25, (4 2 2)
- 63.90 deg, intensity 21, (2 2 4)
- 44.71 deg, intensity 15, (0 0 4)
- 77.66 deg, intensity 12, (2 0 6)
- 62.71 deg, intensity 11, (4 0 0)
- 80.26 deg, intensity 11, (4 0 4)
- 18.54 deg, intensity 5, (1 0 1)
- 21.20 deg, intensity 4, (1 1 0)
- 30.68 deg, intensity 3, (1 1 2)
- 35.64 deg, intensity 2, (2 1 1)

Atomic structure:
```
data_Y2Pd5Au
_chemical_formula_sum 'Y4 Pd10 Au2'
_cell_length_a 5.9264
_cell_length_b 5.9264
_cell_length_c 8.1082
_cell_angle_alpha 90.00
_cell_angle_beta 90.00
_cell_angle_gamma 90.00
_symmetry_space_group_name_H-M 'I 4/m m m'
_symmetry_Int_Tables_number 139
_symmetry_space_group_name_Hall '-I 4 2'
loop_
_atom_site_label
_atom_site_fract_x
_atom_site_fract_y
_atom_site_fract_z
Y1 0.0000 0.5000 0.0000
Pd1 0.0000 0.0000 0.0000
Pd2 0.2500 0.2500 0.2500
Au1 0.0000 0.0000 0.5000
```

# 3
This entry pairs a crystal structure of CoAgGeTe3 with its calculated PXRD pattern. Radiation: Cu Ka. Structure: a crystal structure in OQMD, relaxed with GGA-PBE.

Most intense lines, 2θ from 10° to 90°, most intense first:
- 29.21 deg, intensity 100, (1 3 0)
- 41.55 deg, intensity 57, (1 5 2)
- 34.78 deg, intensity 56, (0 0 4)
- 46.04 deg, intensity 52, (1 3 4)
- 47.90 deg, intensity 34, (2 0 0)
- 28.89 deg, intensity 31, (0 4 2)
- 29.77 deg, intensity 28, (1 1 2)
- 60.52 deg, intensity 22, (2 0 4)
- 20.71 deg, intensity 19, (0 2 2)
- 11.46 deg, intensity 17, (0 2 0)
- 50.49 deg, intensity 17, (0 8 2)
- 87.98 deg, intensity 17, (3 3 4)

Atomic structure:
```
data_CoAgGeTe3
_chemical_formula_sum 'Co4 Ag4 Ge4 Te12'
_cell_length_a 3.8003
_cell_length_b 15.4382
_cell_length_c 10.3175
_cell_angle_alpha 90.00
_cell_angle_beta 90.00
_cell_angle_gamma 90.00
_symmetry_space_group_name_H-M 'C m c m'
_symmetry_Int_Tables_number 63
_symmetry_space_group_name_Hall '-C 2c 2'
loop_
_atom_site_label
_atom_site_fract_x
_atom_site_fract_y
_atom_site_fract_z
Co1 0.0000 0.0000 0.0000
Ag1 0.0000 0.2978 0.2500
Ge1 0.0000 0.3315 0.7500
Te1 0.0000 0.0355 0.2500
Te2 0.0000 0.3893 0.0203
```

# 4
This entry pairs a crystal structure of CuAg with its calculated PXRD pattern. Radiation: Cu Ka. Structure: a crystal structure in OQMD, relaxed with GGA-PBE.

Most intense lines, 2θ from 10° to 90°, most intense first:
- 40.39 deg, intensity 100, (1 1 0)
- 39.67 deg, intensity 99, (0 1 4)
- 44.92 deg, intensity 61, (1 0 4)
- 69.22 deg, intensity 31, (1 2 4)
- 49.71 deg, intensity 27, (0 2 0)
- 80.22 deg, intensity 21, (2 1 4)
- 33.72 deg, intensity 15, (0 1 3)
- 78.82 deg, intensity 13, (1 1 8)
- 66.41 deg, intensity 10, (2 0 0)
- 86.85 deg, intensity 10, (1 3 0)
- 87.32 deg, intensity 10, (2 2 0)
- 70.91 deg, intensity 10, (1 1 7)

Atomic structure:
```
data_CuAg
_chemical_formula_sum 'Cu4 Ag4'
_cell_length_a 2.8155
_cell_length_b 3.6680
_cell_length_c 11.5749
_cell_angle_alpha 90.00
_cell_angle_beta 90.00
_cell_angle_gamma 90.00
_symmetry_space_group_name_H-M 'P m m 2'
_symmetry_Int_Tables_number 25
loop_
_symmetry_equiv_pos_as_xyz
'x,y,z'
'-x,-y,z'
'-x,y,z'
'x,-y,z'
loop_
_atom_site_label
_atom_site_fract_x
_atom_site_fract_y
_atom_site_fract_z
Cu1 0.0000 0.0000 0.0000
Cu2 0.0000 0.0000 0.2129
Cu3 0.0000 0.0000 0.7531
Cu4 0.5000 0.5000 0.1070
Ag1 0.0000 0.0000 0.4825
Ag2 0.5000 0.5000 0.3376
Ag3 0.5000 0.5000 0.6283
Ag4 0.5000 0.5000 0.8758
```

# 5
This entry pairs a crystal structure of Ag15Te with its calculated PXRD pattern. Radiation: Cu Ka. Structure: a crystal structure in OQMD, relaxed with GGA-PBE.

Most intense lines, 2θ from 10° to 90°, most intense first:
- 37.77 deg, intensity 100, (1 1 11)
- 44.04 deg, intensity 21, (2 0 0)
- 43.90 deg, intensity 20, (0 2 0)
- 38.98 deg, intensity 15, (1 1 12)
- 43.74 deg, intensity 15, (0 0 22)
- 63.93 deg, intensity 12, (2 2 0)
- 76.59 deg, intensity 12, (1 3 11)
- 76.79 deg, intensity 12, (3 1 11)
- 76.38 deg, intensity 10, (1 1 33)
- 35.56 deg, intensity 10, (1 1 9)
- 63.70 deg, intensity 9, (0 2 22)
- 80.67 deg, intensity 9, (2 2 22)

Atomic structure:
```
data_Ag15Te
_chemical_formula_sum 'Ag30 Te2'
_cell_length_a 4.1132
_cell_length_b 4.1257
_cell_length_c 45.5297
_cell_angle_alpha 90.00
_cell_angle_beta 90.00
_cell_angle_gamma 90.00
_symmetry_space_group_name_H-M 'P m m a'
_symmetry_Int_Tables_number 51
loop_
_symmetry_equiv_pos_as_xyz
'x,y,z'
'-x,-y,-z'
'-x+1/2,-y,z'
'x+1/2,y,-z'
'x+1/2,-y,-z'
'-x+1/2,y,z'
'-x,y,-z'
'x,-y,z'
loop_
_atom_site_label
_atom_site_fract_x
_atom_site_fract_y
_atom_site_fract_z
Ag1 0.2500 0.0000 0.0223
Ag2 0.2500 0.0000 0.1115
Ag3 0.2500 0.0000 0.2018
Ag4 0.2500 0.0000 0.2938
Ag5 0.2500 0.0000 0.6589
Ag6 0.2500 0.0000 0.7521
Ag7 0.2500 0.0000 0.8436
Ag8 0.2500 0.0000 0.9330
Ag9 0.2500 0.5000 0.0669
Ag10 0.2500 0.5000 0.1564
Ag11 0.2500 0.5000 0.2477
Ag12 0.2500 0.5000 0.7062
Ag13 0.2500 0.5000 0.7982
Ag14 0.2500 0.5000 0.8884
Ag15 0.2500 0.5000 0.9776
Te1 0.2500 0.5000 0.3458
```

# 6
This entry pairs a crystal structure of HoZrSi2 with its calculated PXRD pattern. Radiation: Cu Ka. Structure: a crystal structure in OQMD, relaxed with GGA-PBE.

Most intense lines, 2θ from 10° to 90°, most intense first:
- 31.09 deg, intensity 100, (1 1 1)
- 34.74 deg, intensity 89, (0 2 1)
- 33.79 deg, intensity 85, (1 0 2)
- 37.64 deg, intensity 55, (1 1 2)
- 42.38 deg, intensity 53, (1 2 1)
- 28.62 deg, intensity 44, (1 1 0)
- 39.87 deg, intensity 44, (0 1 3)
- 60.68 deg, intensity 35, (2 2 1)
- 28.97 deg, intensity 35, (0 1 2)
- 55.46 deg, intensity 33, (1 2 3)
- 48.09 deg, intensity 28, (2 0 0)
- 23.92 deg, intensity 28, (0 0 2)

Atomic structure:
```
data_HoZrSi2
_chemical_formula_sum 'Ho2 Zr2 Si4'
_cell_length_a 3.7842
_cell_length_b 5.5069
_cell_length_c 7.4396
_cell_angle_alpha 90.00
_cell_angle_beta 90.00
_cell_angle_gamma 90.00
_symmetry_space_group_name_H-M 'P m c 21'
_symmetry_Int_Tables_number 26
loop_
_symmetry_equiv_pos_as_xyz
'x,y,z'
'-x,-y,z+1/2'
'-x,y,z'
'x,-y,z+1/2'
loop_
_atom_site_label
_atom_site_fract_x
_atom_site_fract_y
_atom_site_fract_z
Ho1 0.0000 0.1290 0.0000
Zr1 0.5000 0.3730 0.6422
Si1 0.0000 0.3897 0.3627
Si2 0.5000 0.1234 0.2845
```